Structure and simulated powder XRD pattern of Tl7TeSe4 (the PBE geometry in Alexandria; λ = 1.5418 Å (Cu Kα)).
Neutral-atom scattering factors, no anomalous dispersion.

Cell and atoms:
```
data_Tl7TeSe4
_cell_length_a 15.1390
_cell_length_b 4.5083
_cell_length_c 12.5362
_cell_angle_alpha 90.00
_cell_angle_beta 108.63
_cell_angle_gamma 90.00
_symmetry_space_group_name_H-M 'C 1 m 1'
_symmetry_Int_Tables_number 8
loop_
_symmetry_equiv_pos_as_xyz
'x,y,z'
'x,-y,z'
'x+1/2,y+1/2,z'
'x+1/2,-y+1/2,z'
loop_
_atom_site_label
_atom_site_type_symbol
_atom_site_fract_x
_atom_site_fract_y
_atom_site_fract_z
Tl1 Tl 0.0000 0.0000 0.0000
Tl2 Tl 0.0081 0.5000 0.3023
Tl3 Tl 0.1207 0.5000 0.6067
Tl4 Tl 0.2284 0.0000 0.8695
Tl5 Tl 0.2715 0.5000 0.1603
Tl6 Tl 0.3129 0.0000 0.4548
Tl7 Tl 0.4369 0.5000 0.7049
Te1 Te 0.1423 0.0000 0.2497
Se1 Se 0.1101 0.5000 0.8644
Se2 Se 0.2774 0.0000 0.6690
Se3 Se 0.3828 0.0000 0.0649
Se4 Se 0.4277 0.5000 0.4355
```

The 6 most intense peaks (2θ from 5° to 70°), low angle first:
2θ (°)	intensity	(hkl)
26.56	95	3 1 -1
28.04	77	3 1 -2
28.62	54	2 0 -4
29.03	93	2 0 3
29.80	45	3 1 1
39.98	100	0 2 0